[1]
This entry pairs a crystal structure of Pb2S13 with its theoretical PXRD pattern. Radiation: Cu Kα, 1.54184 Å. Structure: a PBE-relaxed structure.
Kinematic intensities with the Lorentz-polarization factor, no thermal factor.

Peak list (6 most intense, 2θ = 10–80°, in order of falling intensity)
- (1 0 1), d 4.337, 2θ = 20.5°, I = 100
- (1 0 4), d 4.159, 2θ = 21.4°, I = 80
- (0 1 8), d 3.710, 2θ = 24.0°, I = 71
- (0 2 7), d 2.101, 2θ = 43.1°, I = 66
- (1 0 10), d 3.454, 2θ = 25.8°, I = 60
- (1 0 7), d 3.834, 2θ = 23.2°, I = 53

Structural model:
Lattice parameters (Å, degrees): 5.0226 5.0226 56.8483 90.00 90.00 120.00
Space group R-3m (No. 166, hexagonal axes)
Symmetry-distinct sites (fractional):
Pb: 0.0000 0.0000 0.1454 (multiplicity 6)
S: 0.0000 0.0000 0.0000 (multiplicity 3)
S: 0.0054 0.5027 0.2983 (multiplicity 18)
S: 0.0081 0.5041 0.4392 (multiplicity 18)

=====

[2]
This entry pairs a crystal structure of Li5PuTl4 with its theoretical PXRD pattern. Radiation: Cu Kα, 1.54184 Å. Structure: a PBE-relaxed structure.
Kinematic intensities with the Lorentz-polarization factor, no thermal factor.

Peak list (6 most intense, 2θ = 10–80°, in order of falling intensity)
- (1 0 0), d 3.378, 2θ = 26.4°, I = 100
- (1 0 5), d 2.521, 2θ = 35.6°, I = 100
- (0 0 5), d 3.788, 2θ = 23.5°, I = 65
- (1 1 5), d 2.021, 2θ = 44.9°, I = 48
- (1 1 0), d 2.389, 2θ = 37.7°, I = 44
- (2 1 5), d 1.403, 2θ = 66.6°, I = 33

Structural model:
Lattice parameters (Å, degrees): 3.3784 3.3784 18.9396 90.00 90.00 90.00
Space group P4/mmm (No. 123)
Symmetry-distinct sites (fractional):
Li: 0.0000 0.0000 0.0000 (multiplicity 1)
Li: 0.0000 0.0000 0.1933 (multiplicity 2)
Li: 0.0000 0.0000 0.3777 (multiplicity 2)
Pu: 0.5000 0.5000 0.5000 (multiplicity 1)
Tl: 0.5000 0.5000 0.0962 (multiplicity 2)
Tl: 0.5000 0.5000 0.2931 (multiplicity 2)

=====

[3]
This entry pairs a crystal structure of CsCdF4 with its theoretical PXRD pattern. Radiation: Cu Kα, 1.54184 Å. Structure: a PBE-relaxed structure.
Kinematic intensities with the Lorentz-polarization factor, no thermal factor.

Peak list (6 most intense, 2θ = 10–80°, in order of falling intensity)
- (1 1 1), d 3.622, 2θ = 24.6°, I = 100
- (0 4 1), d 3.457, 2θ = 25.8°, I = 54
- (1 3 1), d 3.055, 2θ = 29.2°, I = 46
- (0 0 2), d 3.378, 2θ = 26.4°, I = 34
- (0 4 0), d 4.023, 2θ = 22.1°, I = 34
- (0 4 2), d 2.587, 2θ = 34.7°, I = 29

Structural model:
Lattice parameters (Å, degrees): 4.4514 16.0937 6.7570 90.00 90.00 90.00
Space group Cmcm (No. 63)
Symmetry-distinct sites (fractional):
Cs: 0.0000 0.1480 0.2500 (multiplicity 4)
Cd: 0.0000 0.4144 0.2500 (multiplicity 4)
F: 0.0000 0.0752 0.7500 (multiplicity 4)
F: 0.0000 0.3195 0.0343 (multiplicity 8)
F: 0.0000 0.5000 0.0000 (multiplicity 4)

=====

Q: What is the formula in the third record?
A: CsCdF4